Diffraction record for Tm14ThZr. The PXRD pattern is calculated, not measured: it uses a DFT-relaxed cell (PBE, Alexandria) and Cu Kα X-rays.
Intensities are scaled so that the largest is 100.

Structure:
```
Tm14ThZr
1.0
6.9574 0.0000 0.0000
0.0000 6.9574 0.0000
0.0000 0.0000 9.7819
Tm Th Zr
14 1 1
Direct
0.0000 0.0000 0.0000
0.0000 0.5000 0.0000
0.0000 0.5000 0.5000
0.2466 0.2466 0.2556
0.2466 0.2466 0.7444
0.2466 0.7534 0.2556
0.2466 0.7534 0.7444
0.5000 0.0000 0.0000
0.5000 0.0000 0.5000
0.5000 0.5000 0.0000
0.7534 0.2466 0.2556
0.7534 0.2466 0.7444
0.7534 0.7534 0.2556
0.7534 0.7534 0.7444
0.5000 0.5000 0.5000
0.0000 0.0000 0.5000
```

Largest 12 diffraction maxima, low angle first, 15 to 90 degrees two-theta:
- 2θ 31.56, I = 100
- 2θ 36.53, I = 34
- 2θ 36.75, I = 17
- 2θ 52.62, I = 12
- 2θ 52.79, I = 24
- 2θ 62.66, I = 28
- 2θ 62.96, I = 14
- 2θ 65.90, I = 12
- 2θ 86.20, I = 6
- 2θ 86.46, I = 12
- 2θ 88.98, I = 6
- 2θ 89.11, I = 6

***

Diffraction record for Th3U. The PXRD pattern is calculated, not measured: it uses a DFT-relaxed cell (PBE, Alexandria) and Cu Kα X-rays.
Intensities are scaled so that the largest is 100.

Structure:
```
Th3U
1.0
4.8958 0.0000 0.0000
0.0000 4.8958 0.0000
0.0000 0.0000 4.8958
Th U
3 1
Direct
0.0000 0.0000 0.5000
0.0000 0.5000 0.0000
0.5000 0.0000 0.0000
0.5000 0.5000 0.5000
```

Largest 8 diffraction maxima, low angle first, 15 to 90 degrees two-theta:
- 2θ 31.65, I = 100
- 2θ 36.71, I = 51
- 2θ 52.90, I = 37
- 2θ 62.97, I = 44
- 2θ 66.11, I = 13
- 2θ 78.08, I = 6
- 2θ 86.69, I = 19
- 2θ 89.53, I = 18

***

Diffraction record for ThUZn17. The PXRD pattern is calculated, not measured: it uses a DFT-relaxed cell (PBE, Alexandria) and Cu Kα X-rays.
Intensities are scaled so that the largest is 100.

Structure:
```
ThUZn17
1.0
4.5115 2.6047 4.4026
-4.5115 2.6047 4.4026
0.0000 -5.2095 4.4026
Th U Zn
1 1 17
Direct
0.0000 0.0000 0.0000
0.6739 0.6739 0.6739
0.0422 0.3394 0.6313
0.0422 0.6313 0.3394
0.1817 0.6877 0.6877
0.2393 0.2393 0.2393
0.3370 0.3370 0.8384
0.3370 0.8384 0.3370
0.3394 0.0422 0.6313
0.3394 0.6313 0.0422
0.4393 0.4393 0.4393
0.5022 0.9823 0.9823
0.6313 0.0422 0.3394
0.6313 0.3394 0.0422
0.6877 0.1817 0.6877
0.6877 0.6877 0.1817
0.8384 0.3370 0.3370
0.9823 0.5022 0.9823
0.9823 0.9823 0.5022
```

Largest 12 diffraction maxima, low angle first, 15 to 90 degrees two-theta:
- 2θ 28.32, I = 45
- 2θ 34.43, I = 44
- 2θ 35.60, I = 26
- 2θ 39.97, I = 60
- 2θ 40.23, I = 100
- 2θ 41.00, I = 47
- 2θ 41.25, I = 19
- 2θ 58.00, I = 25
- 2θ 58.59, I = 26
- 2θ 65.60, I = 19
- 2θ 72.59, I = 17
- 2θ 74.16, I = 20

***

Diffraction record for ThVW. The PXRD pattern is calculated, not measured: it uses a DFT-relaxed cell (PBE, Alexandria) and Cu Kα X-rays.
Intensities are scaled so that the largest is 100.

Structure:
```
ThVW
1.0
3.9415 2.2756 3.5083
-3.9415 2.2756 3.5083
0.0000 -4.5512 3.5083
Th V W
3 3 3
Direct
0.0000 0.7159 0.2841
0.2841 0.0000 0.7159
0.7159 0.2841 0.0000
0.1746 0.5000 0.8254
0.5000 0.8254 0.1746
0.8254 0.1746 0.5000
0.2417 0.2417 0.2417
0.5000 0.5000 0.5000
0.7583 0.7583 0.7583
```

Largest 12 diffraction maxima, low angle first, 15 to 90 degrees two-theta:
- 2θ 22.56, I = 40
- 2θ 27.47, I = 15
- 2θ 34.22, I = 100
- 2θ 35.83, I = 24
- 2θ 36.60, I = 29
- 2θ 38.87, I = 19
- 2θ 39.60, I = 73
- 2θ 49.47, I = 14
- 2θ 53.32, I = 18
- 2θ 57.51, I = 16
- 2θ 60.21, I = 19
- 2θ 65.15, I = 14